No. 1
The following is a theoretical PXRD pattern of Cr2PtAu. It was derived from the PBE geometry in Alexandria, using Cu Kα, 1.54184 Å.
Kinematic intensities with the Lorentz-polarization factor, no thermal factor.

Structural model:
a = 9.0449 Å, b = 9.0449 Å, c = 9.0449 Å
α = 17.39°, β = 17.39°, γ = 17.39°
Fractional coordinates of all 4 atoms:
Cr 0.2475 0.2475 0.2475
Cr 0.7525 0.7525 0.7525
Pt 0.5000 0.5000 0.5000
Au 0.0000 0.0000 0.0000

The 10 most intense peaks (10° ≤ 2θ ≤ 90°), by intensity:
- 2θ = 40.40°, rel. 100
- 2θ = 47.03°, rel. 64
- 2θ = 19.94°, rel. 61
- 2θ = 82.82°, rel. 37
- 2θ = 38.60°, rel. 37
- 2θ = 40.52°, rel. 33
- 2θ = 68.63°, rel. 21
- 2θ = 68.78°, rel. 20
- 2θ = 51.57°, rel. 17
- 2θ = 62.52°, rel. 13

No. 2
The following is a theoretical PXRD pattern of Gd2CoH4. It was derived from the PBE geometry in Alexandria, using Cu Kα, 1.54184 Å.
Kinematic intensities with the Lorentz-polarization factor, no thermal factor.

Structural model:
a = 6.7354 Å, b = 6.7354 Å, c = 6.7354 Å
α = 149.72°, β = 149.72°, γ = 43.36°
Fractional coordinates of all 7 atoms:
Gd 0.1420 0.1420 0.0000
Gd 0.8580 0.8580 0.0000
Co 0.5000 0.5000 0.0000
H 0.0000 0.5000 0.5000
H 0.3627 0.3627 0.0000
H 0.5000 0.0000 0.5000
H 0.6373 0.6373 0.0000

The 10 most intense peaks (10° ≤ 2θ ≤ 90°), by intensity:
- 2θ = 33.31°, rel. 100
- 2θ = 36.10°, rel. 49
- 2θ = 63.15°, rel. 31
- 2θ = 26.31°, rel. 27
- 2θ = 46.64°, rel. 18
- 2θ = 51.98°, rel. 18
- 2θ = 28.52°, rel. 16
- 2θ = 57.84°, rel. 11
- 2θ = 57.66°, rel. 11
- 2θ = 81.47°, rel. 9

No. 3
The following is a theoretical PXRD pattern of Mn2Cr5. It was derived from the PBE geometry in Alexandria, using Cu Kα, 1.54184 Å.
Kinematic intensities with the Lorentz-polarization factor, no thermal factor.

Structural model:
a = 8.1091 Å, b = 8.2796 Å, c = 2.4989 Å
α = 90.00°, β = 90.00°, γ = 90.00°
Fractional coordinates of all 14 atoms:
Mn 0.1726 0.1858 0.0000
Mn 0.3274 0.6858 0.0000
Mn 0.6726 0.3142 0.0000
Mn 0.8274 0.8142 0.0000
Cr 0.0000 0.0000 0.5000
Cr 0.0789 0.7278 0.5000
Cr 0.1688 0.4538 0.5000
Cr 0.3312 0.9538 0.5000
Cr 0.4211 0.2278 0.5000
Cr 0.5000 0.5000 0.5000
Cr 0.5789 0.7722 0.5000
Cr 0.6688 0.0462 0.5000
Cr 0.8312 0.5462 0.5000
Cr 0.9211 0.2722 0.5000

The 10 most intense peaks (10° ≤ 2θ ≤ 90°), by intensity:
- 2θ = 50.98°, rel. 100
- 2θ = 43.94°, rel. 90
- 2θ = 47.06°, rel. 88
- 2θ = 46.10°, rel. 86
- 2θ = 45.21°, rel. 84
- 2θ = 43.75°, rel. 84
- 2θ = 54.46°, rel. 69
- 2θ = 34.92°, rel. 51
- 2θ = 84.86°, rel. 51
- 2θ = 35.94°, rel. 46

No. 4
The following is a theoretical PXRD pattern of CeBrO. It was derived from the PBE geometry in Alexandria, using Cu Kα, 1.54184 Å.
Kinematic intensities with the Lorentz-polarization factor, no thermal factor.

Structural model:
a = 3.9957 Å, b = 3.9957 Å, c = 8.8392 Å
α = 90.00°, β = 90.00°, γ = 90.00°
Fractional coordinates of all 6 atoms:
Ce 0.2500 0.2500 0.1392
Ce 0.7500 0.7500 0.8608
Br 0.2500 0.2500 0.6755
Br 0.7500 0.7500 0.3245
O 0.2500 0.7500 0.0000
O 0.7500 0.2500 0.0000

The 10 most intense peaks (10° ≤ 2θ ≤ 90°), by intensity:
- 2θ = 30.15°, rel. 100
- 2θ = 31.67°, rel. 44
- 2θ = 10.01°, rel. 39
- 2θ = 55.47°, rel. 35
- 2θ = 45.40°, rel. 22
- 2θ = 52.58°, rel. 14
- 2θ = 46.99°, rel. 11
- 2θ = 37.79°, rel. 11
- 2θ = 37.94°, rel. 9
- 2θ = 75.20°, rel. 8

No. 5
The following is a theoretical PXRD pattern of PmDyHo2Er6. It was derived from the PBE geometry in Alexandria, using Cu Kα, 1.54184 Å.
Kinematic intensities with the Lorentz-polarization factor, no thermal factor.

Structural model:
a = 8.7190 Å, b = 8.7190 Å, c = 9.4620 Å
α = 93.66°, β = 93.66°, γ = 117.78°
Fractional coordinates of all 20 atoms:
Pm 0.0252 0.9748 0.7500
Pm 0.9748 0.0252 0.2500
Dy 0.4094 0.5906 0.2500
Dy 0.5906 0.4094 0.7500
Ho 0.1972 0.3033 0.5460
Ho 0.3033 0.1972 0.0460
Ho 0.6967 0.8028 0.9540
Ho 0.8028 0.6967 0.4540
Er 0.0198 0.5676 0.6828
Er 0.1239 0.7498 0.0574
Er 0.2502 0.8761 0.4426
Er 0.2914 0.5082 0.8818
Er 0.4324 0.9802 0.8172
Er 0.4918 0.7086 0.6182
Er 0.5082 0.2914 0.3818
Er 0.5676 0.0198 0.1828
Er 0.7086 0.4918 0.1182
Er 0.7498 0.1239 0.5574
Er 0.8761 0.2502 0.9426
Er 0.9802 0.4324 0.3172

The 10 most intense peaks (10° ≤ 2θ ≤ 90°), by intensity:
- 2θ = 31.62°, rel. 100
- 2θ = 30.95°, rel. 98
- 2θ = 34.28°, rel. 44
- 2θ = 28.81°, rel. 35
- 2θ = 31.93°, rel. 34
- 2θ = 32.67°, rel. 19
- 2θ = 54.48°, rel. 15
- 2θ = 35.03°, rel. 14
- 2θ = 28.45°, rel. 13
- 2θ = 51.30°, rel. 12

No. 6
The following is a theoretical PXRD pattern of Ho4TcRh. It was derived from the PBE geometry in Alexandria, using Cu Kα, 1.54184 Å.
Kinematic intensities with the Lorentz-polarization factor, no thermal factor.

Structural model:
a = 7.4585 Å, b = 4.3058 Å, c = 17.9456 Å
α = 90.00°, β = 90.00°, γ = 90.00°
Fractional coordinates of all 24 atoms:
Ho 0.0116 0.2500 0.0727
Ho 0.0658 0.2500 0.7798
Ho 0.1004 0.2500 0.3505
Ho 0.1480 0.2500 0.5471
Ho 0.3520 0.7500 0.0471
Ho 0.3996 0.7500 0.8505
Ho 0.4342 0.7500 0.2798
Ho 0.4884 0.7500 0.5727
Ho 0.5116 0.2500 0.4273
Ho 0.5658 0.2500 0.7202
Ho 0.6004 0.2500 0.1495
Ho 0.6480 0.2500 0.9529
Ho 0.8520 0.7500 0.4529
Ho 0.8996 0.7500 0.6495
Ho 0.9342 0.7500 0.2202
Ho 0.9884 0.7500 0.9273
Tc 0.2488 0.2500 0.9386
Tc 0.2512 0.7500 0.4386
Tc 0.7488 0.2500 0.5614
Tc 0.7512 0.7500 0.0614
Rh 0.2333 0.2500 0.2038
Rh 0.2667 0.7500 0.7038
Rh 0.7333 0.2500 0.2962
Rh 0.7667 0.7500 0.7962

The 10 most intense peaks (10° ≤ 2θ ≤ 90°), by intensity:
- 2θ = 31.19°, rel. 100
- 2θ = 35.19°, rel. 89
- 2θ = 31.74°, rel. 63
- 2θ = 41.97°, rel. 47
- 2θ = 32.48°, rel. 38
- 2θ = 34.69°, rel. 33
- 2θ = 41.53°, rel. 30
- 2θ = 37.08°, rel. 29
- 2θ = 42.81°, rel. 21
- 2θ = 60.51°, rel. 19